Diffraction record for Ba5Mn3O12F. The powder diffractogram is theoretical, not measured: it uses a structure optimized by DFT (GGA+U) and Cu Kα.

Principal peaks in the range 10° ≤ 2θ ≤ 90°, low angle first:
d_spacing  2theta  Rel. int.
3.578  24.89  21
3.442  25.88  31
3.148  28.35  100
3.127  28.54  77
3.036  29.42  37
2.178  41.45  35
2.071  43.70  33
2.018  44.92  16
1.987  45.65  23
1.965  46.20  19
1.390  67.38  19
1.366  68.72  16

```
Ba5Mn3O12F
1.0
10.516 0.000 0.000
-5.258 9.107 0.000
0.000 0.000 7.781
Ba Mn O F
10 6 24 2
Direct
0.010 0.242 0.250
0.233 0.990 0.250
0.242 0.233 0.750
0.333 0.667 0.501
0.333 0.667 0.999
0.667 0.333 0.001
0.667 0.333 0.499
0.758 0.767 0.250
0.767 0.010 0.750
0.990 0.758 0.750
0.032 0.404 0.750
0.372 0.968 0.750
0.404 0.372 0.250
0.596 0.628 0.750
0.628 0.032 0.250
0.968 0.596 0.250
0.094 0.351 0.575
0.094 0.351 0.925
0.119 0.593 0.750
0.156 0.679 0.250
0.257 0.906 0.575
0.257 0.906 0.925
0.321 0.478 0.250
0.351 0.257 0.075
0.351 0.257 0.425
0.407 0.527 0.750
0.473 0.881 0.750
0.478 0.156 0.750
0.522 0.844 0.250
0.527 0.119 0.250
0.593 0.473 0.250
0.649 0.743 0.575
0.649 0.743 0.925
0.679 0.522 0.750
0.743 0.094 0.075
0.743 0.094 0.425
0.844 0.321 0.750
0.881 0.407 0.250
0.906 0.649 0.075
0.906 0.649 0.425
0.000 0.000 0.000
0.000 0.000 0.500
```


Diffraction record for Ba5Mn3O12F. The powder diffractogram is theoretical, not measured: it uses a structure optimized by DFT (GGA+U) and Cu Kα.

Principal peaks in the range 10° ≤ 2θ ≤ 90°, low angle first:
d_spacing  2theta  Rel. int.
4.581  19.38  10
3.968  22.40  10
3.641  24.44  17
3.463  25.73  18
3.174  28.11  100
3.054  29.24  30
2.201  41.01  19
2.102  43.03  23
2.032  44.59  12
1.999  45.36  11
1.984  45.73  24
1.664  55.21  14

```
Ba5Mn3O12F
1.0
10.579 0.000 0.000
-5.290 9.162 0.000
0.000 0.000 7.937
Ba Mn O F
10 6 24 2
Direct
0.008 0.757 0.250
0.243 0.252 0.250
0.252 0.008 0.750
0.333 0.667 0.502
0.333 0.667 0.998
0.667 0.333 0.002
0.667 0.333 0.498
0.748 0.992 0.250
0.757 0.748 0.750
0.992 0.243 0.750
0.028 0.630 0.750
0.370 0.398 0.750
0.398 0.028 0.250
0.602 0.972 0.750
0.630 0.602 0.250
0.972 0.370 0.250
0.086 0.743 0.577
0.086 0.743 0.923
0.123 0.536 0.750
0.158 0.483 0.250
0.257 0.343 0.577
0.257 0.343 0.923
0.326 0.842 0.250
0.343 0.086 0.077
0.343 0.086 0.423
0.413 0.877 0.750
0.464 0.587 0.750
0.483 0.326 0.750
0.517 0.674 0.250
0.536 0.413 0.250
0.587 0.123 0.250
0.657 0.914 0.577
0.657 0.914 0.923
0.674 0.158 0.750
0.743 0.657 0.077
0.743 0.657 0.423
0.842 0.517 0.750
0.877 0.464 0.250
0.914 0.257 0.077
0.914 0.257 0.423
0.000 0.000 0.250
0.000 0.000 0.750
```


Diffraction record for BaMnPO4F2. The powder diffractogram is theoretical, not measured: it uses a structure optimized by DFT (GGA+U) and Cu Kα.

Principal peaks in the range 10° ≤ 2θ ≤ 90°, low angle first:
d_spacing  2theta  Rel. int.
4.444  19.98  42
3.634  24.49  28
3.481  25.59  39
3.311  26.93  100
3.235  27.58  33
3.197  27.91  27
3.159  28.25  53
2.969  30.10  66
2.852  31.36  36
2.561  35.04  29
2.327  38.69  29
2.077  43.57  31

```
BaMnPO4F2
1.0
5.265 0.000 0.000
0.000 13.016 0.000
-3.543 0.000 7.225
Ba Mn P O F
4 4 4 16 8
Direct
0.148 0.203 0.190
0.148 0.297 0.690
0.852 0.703 0.310
0.852 0.797 0.810
0.000 0.000 0.500
0.000 0.500 0.000
0.500 0.000 0.000
0.500 0.500 0.500
0.370 0.610 0.803
0.370 0.890 0.303
0.630 0.110 0.697
0.630 0.390 0.197
0.212 0.595 0.926
0.212 0.905 0.426
0.277 0.713 0.703
0.277 0.787 0.203
0.304 0.114 0.562
0.304 0.386 0.062
0.310 0.519 0.663
0.310 0.981 0.163
0.690 0.019 0.837
0.690 0.481 0.337
0.696 0.614 0.938
0.696 0.886 0.438
0.723 0.213 0.797
0.723 0.287 0.297
0.788 0.095 0.574
0.788 0.405 0.074
0.168 0.562 0.264
0.168 0.938 0.764
0.338 0.135 0.947
0.338 0.365 0.447
0.662 0.635 0.553
0.662 0.865 0.053
0.832 0.062 0.236
0.832 0.438 0.736
```


Diffraction record for Ba2MnP2F. The powder diffractogram is theoretical, not measured: it uses a structure optimized by DFT (GGA+U) and Cu Kα.

Principal peaks in the range 10° ≤ 2θ ≤ 90°, low angle first:
d_spacing  2theta  Rel. int.
5.239  16.92  35
3.778  23.55  100
3.064  29.14  39
2.723  32.89  13
2.671  33.55  39
2.620  34.23  16
2.380  37.80  20
2.153  41.97  35
1.889  48.18  14
1.870  48.69  22
1.689  54.30  19
1.420  65.78  18

```
Ba2MnP2F
1.0
3.778 0.000 0.000
0.000 3.778 0.000
0.000 0.000 15.717
Ba Mn P F
2 1 2 1
Direct
0.000 0.000 0.157
0.000 0.000 0.843
0.000 0.000 0.500
0.000 0.000 0.351
0.000 0.000 0.649
0.000 0.000 0.000
```


Diffraction record for BaMnVF7. The powder diffractogram is theoretical, not measured: it uses a structure optimized by DFT (GGA+U) and Cu Kα.

Principal peaks in the range 10° ≤ 2θ ≤ 90°, low angle first:
d_spacing  2theta  Rel. int.
4.164  21.34  37
3.802  23.40  23
3.510  25.37  100
3.342  26.68  47
3.184  28.02  77
3.021  29.57  63
2.579  34.78  27
2.232  40.40  51
2.181  41.41  25
2.054  44.08  32
1.819  50.16  21
1.672  54.92  28

```
BaMnVF7
1.0
7.004 -2.662 0.000
7.004 2.662 0.000
-0.004 0.000 15.209
Ba Mn V F
4 4 4 28
Direct
0.149 0.239 0.377
0.239 0.149 0.877
0.761 0.851 0.123
0.851 0.761 0.623
0.098 0.129 0.127
0.129 0.098 0.627
0.871 0.902 0.373
0.902 0.871 0.873
0.444 0.556 0.250
0.500 0.500 0.000
0.500 0.500 0.500
0.556 0.444 0.750
0.055 0.610 0.274
0.118 0.735 0.994
0.136 0.831 0.167
0.169 0.864 0.333
0.184 0.320 0.086
0.202 0.567 0.462
0.211 0.579 0.780
0.265 0.882 0.506
0.320 0.184 0.586
0.361 0.556 0.625
0.390 0.945 0.226
0.421 0.789 0.720
0.433 0.798 0.038
0.444 0.639 0.875
0.556 0.361 0.125
0.567 0.202 0.962
0.579 0.211 0.280
0.610 0.055 0.774
0.639 0.444 0.375
0.680 0.816 0.414
0.735 0.118 0.494
0.789 0.421 0.220
0.798 0.433 0.538
0.816 0.680 0.914
0.831 0.136 0.667
0.864 0.169 0.833
0.882 0.265 0.006
0.945 0.390 0.726
```


Diffraction record for Ba2YMn2F11. The powder diffractogram is theoretical, not measured: it uses a structure optimized by DFT (GGA+U) and Cu Kα.

Principal peaks in the range 10° ≤ 2θ ≤ 90°, low angle first:
d_spacing  2theta  Rel. int.
3.849  23.11  38
3.810  23.35  80
3.459  25.75  62
3.367  26.47  100
3.097  28.83  60
3.066  29.13  48
2.451  36.66  41
2.276  39.61  35
2.164  41.73  35
2.082  43.46  39
2.006  45.21  30
1.722  53.19  32

```
Ba2YMn2F11
1.0
8.023 0.000 0.000
-4.011 6.948 0.000
0.000 0.000 13.667
Ba Y Mn F
6 3 6 33
Direct
0.017 0.164 0.000
0.147 0.983 0.333
0.217 0.510 0.515
0.293 0.783 0.849
0.490 0.707 0.182
0.836 0.853 0.667
0.549 0.207 0.078
0.659 0.451 0.411
0.793 0.341 0.745
0.046 0.720 0.077
0.280 0.326 0.743
0.426 0.063 0.577
0.638 0.574 0.910
0.674 0.954 0.410
0.937 0.362 0.244
0.006 0.639 0.710
0.089 0.660 0.222
0.148 0.308 0.187
0.152 0.040 0.783
0.160 0.852 0.521
0.252 0.651 0.032
0.261 0.022 0.005
0.321 0.252 0.598
0.340 0.429 0.889
0.349 0.601 0.699
0.361 0.367 0.377
0.368 0.005 0.187
0.399 0.748 0.365
0.511 0.131 0.421
0.526 0.064 0.724
0.538 0.474 0.058
0.571 0.911 0.555
0.619 0.489 0.754
0.625 0.283 0.910
0.633 0.994 0.044
0.637 0.632 0.521
0.658 0.375 0.243
0.692 0.840 0.854
0.717 0.342 0.576
0.748 0.068 0.265
0.761 0.739 0.338
0.869 0.381 0.087
0.888 0.848 0.116
0.932 0.679 0.931
0.936 0.462 0.391
0.960 0.112 0.449
0.978 0.239 0.672
0.995 0.363 0.854
```


Diffraction record for BaMoF7. The powder diffractogram is theoretical, not measured: it uses a structure optimized by DFT (GGA+U) and Cu Kα.

Principal peaks in the range 10° ≤ 2θ ≤ 90°, low angle first:
d_spacing  2theta  Rel. int.
4.575  19.40  75
4.430  20.04  68
3.976  22.36  57
3.702  24.04  46
3.601  24.72  100
3.557  25.03  77
3.532  25.21  28
3.345  26.65  47
2.446  36.75  31
2.354  38.24  32
2.254  40.00  46
1.830  49.83  35

```
BaMoF7
1.0
5.697 0.000 0.000
0.000 10.140 0.000
-0.486 0.000 10.630
Ba Mo F
4 4 28
Direct
0.198 0.167 0.007
0.198 0.333 0.507
0.802 0.667 0.493
0.802 0.833 0.993
0.315 0.610 0.187
0.315 0.890 0.687
0.685 0.110 0.313
0.685 0.390 0.813
0.037 0.695 0.242
0.037 0.805 0.742
0.113 0.542 0.613
0.113 0.958 0.113
0.174 0.051 0.632
0.174 0.449 0.132
0.243 0.695 0.025
0.243 0.805 0.525
0.384 0.546 0.358
0.384 0.954 0.858
0.401 0.044 0.376
0.401 0.456 0.876
0.499 0.737 0.740
0.499 0.763 0.240
0.501 0.237 0.760
0.501 0.263 0.260
0.599 0.544 0.124
0.599 0.956 0.624
0.616 0.046 0.142
0.616 0.454 0.642
0.757 0.195 0.475
0.757 0.305 0.975
0.826 0.551 0.868
0.826 0.949 0.368
0.887 0.042 0.887
0.887 0.458 0.387
0.963 0.195 0.258
0.963 0.305 0.758
```


Diffraction record for Ba2MoO3F4. The powder diffractogram is theoretical, not measured: it uses a structure optimized by DFT (GGA+U) and Cu Kα.

Principal peaks in the range 10° ≤ 2θ ≤ 90°, low angle first:
d_spacing  2theta  Rel. int.
3.730  23.85  100
3.649  24.39  71
3.589  24.80  47
3.360  26.53  31
3.257  27.38  28
3.160  28.24  39
3.024  29.54  31
2.986  29.92  42
2.903  30.80  23
2.219  40.66  26
2.135  42.33  32
1.941  46.81  24

```
Ba2MoO3F4
1.0
5.821 -4.789 0.000
5.821 4.789 0.000
-4.287 0.000 5.920
Ba Mo O F
4 2 6 8
Direct
0.118 0.469 0.828
0.118 0.882 0.500
0.469 0.118 0.328
0.882 0.118 0.000
0.587 0.647 0.443
0.647 0.587 0.943
0.352 0.533 0.321
0.533 0.352 0.821
0.537 0.897 0.603
0.568 0.693 0.202
0.693 0.568 0.702
0.897 0.537 0.103
0.143 0.219 0.444
0.147 0.848 0.122
0.219 0.143 0.944
0.365 0.700 0.799
0.700 0.365 0.299
0.721 0.899 0.103
0.848 0.147 0.622
0.899 0.721 0.603
```